Entry 1:
The following is a theoretical powder diffraction line list of Cs2NiP2S6. It was derived from a structure optimized by DFT (GGA-PBE), using Cu Kα.
Peak positions follow from Bragg's law for the DFT cell and can differ from measured ones.

Cell and atoms:
```
data_Cs2NiP2S6
_space_group_name_H-M_alt 'P 1'
_space_group_IT_number 1
_cell_length_a 5.9456
_cell_length_b 12.9380
_cell_length_c 9.5694
_cell_angle_alpha 90.00
_cell_angle_beta 124.80
_cell_angle_gamma 90.00
loop_
_space_group_symop_operation_xyz
'x,y,z'
loop_
_atom_site_label
_atom_site_fract_x
_atom_site_fract_y
_atom_site_fract_z
Cs1 0.2041 0.1719 0.4691
Cs2 0.2041 0.3281 0.9691
Cs3 0.7959 0.6719 0.0309
Cs4 0.7959 0.8281 0.5309
Ni1 0.5000 0.0000 0.0000
Ni2 0.5000 0.5000 0.5000
P1 0.1666 0.5380 0.6187
P2 0.1666 0.9620 0.1187
P3 0.8334 0.0380 0.8813
P4 0.8334 0.4620 0.3813
S1 0.0284 0.0733 0.7701
S2 0.0284 0.4267 0.2701
S3 0.2961 0.6544 0.5382
S4 0.2961 0.8456 0.0382
S5 0.4754 0.0672 0.2318
S6 0.4754 0.4328 0.7318
S7 0.5246 0.5672 0.2682
S8 0.5246 0.9328 0.7682
S9 0.7039 0.1544 0.9618
S10 0.7039 0.3456 0.4618
S11 0.9716 0.5733 0.7299
S12 0.9716 0.9267 0.2299
```

Most intense lines, 2θ = 10–80°, by intensity:
| d [Å] | I_rel |
| --- | --- |
| 3.781 | 100 |
| 2.991 | 92 |
| 2.840 | 88 |
| 2.859 | 64 |
| 4.373 | 54 |
| 4.335 | 53 |
| 4.568 | 47 |
| 1.890 | 38 |
| 3.929 | 36 |
| 2.967 | 36 |

Entry 2:
The following is a theoretical powder diffraction line list of Sc2PdAu. It was derived from a structure optimized by DFT (GGA-PBE), using Cu Kα.
Peak positions follow from Bragg's law for the DFT cell and can differ from measured ones.

Cell and atoms:
```
data_Sc2PdAu
_space_group_name_H-M_alt 'P 1'
_space_group_IT_number 1
_cell_length_a 4.7611
_cell_length_b 4.7611
_cell_length_c 4.7611
_cell_angle_alpha 60.00
_cell_angle_beta 60.00
_cell_angle_gamma 60.00
loop_
_space_group_symop_operation_xyz
'x,y,z'
loop_
_atom_site_label
_atom_site_fract_x
_atom_site_fract_y
_atom_site_fract_z
Sc1 0.2500 0.2500 0.2500
Sc2 0.7500 0.7500 0.7500
Pd1 0.0000 0.0000 0.0000
Au1 0.5000 0.5000 0.5000
```

Most intense lines, 2θ = 10–80°, by intensity:
| d [Å] | I_rel |
| --- | --- |
| 2.381 | 100 |
| 3.367 | 37 |
| 1.374 | 34 |
| 1.683 | 17 |
| 1.506 | 16 |
| 3.887 | 11 |
| 1.944 | 11 |
| 2.030 | 7 |
| 1.545 | 3 |
| 1.296 | 2 |

Entry 3:
The following is a theoretical powder diffraction line list of Mg5Si9. It was derived from a structure optimized by DFT (GGA-PBE), using Cu Kα.
Peak positions follow from Bragg's law for the DFT cell and can differ from measured ones.

Cell and atoms:
```
data_Mg5Si9
_space_group_name_H-M_alt 'P 1'
_space_group_IT_number 1
_cell_length_a 5.3952
_cell_length_b 7.3570
_cell_length_c 12.7888
_cell_angle_alpha 92.12
_cell_angle_beta 95.65
_cell_angle_gamma 104.64
loop_
_space_group_symop_operation_xyz
'x,y,z'
loop_
_atom_site_label
_atom_site_fract_x
_atom_site_fract_y
_atom_site_fract_z
Mg1 0.0000 0.0000 0.0000
Mg2 0.0211 0.8313 0.6156
Mg3 0.1415 0.7204 0.1724
Mg4 0.2475 0.8880 0.4085
Mg5 0.2954 0.5465 0.7470
Mg6 0.4026 0.3372 0.3983
Mg7 0.4368 0.3950 0.1674
Mg8 0.6889 0.7191 0.3425
Mg9 0.7421 0.2955 0.8366
Mg10 0.8339 0.1128 0.4456
Si1 0.2013 0.1127 0.8117
Si2 0.2029 0.6933 0.9407
Si3 0.2552 0.3723 0.9492
Si4 0.3786 0.1686 0.5850
Si5 0.4471 0.6550 0.5425
Si6 0.5041 0.0672 0.2551
Si7 0.5287 0.0533 0.0537
Si8 0.5445 0.9044 0.8542
Si9 0.5757 0.9398 0.6615
Si10 0.6538 0.7851 0.1275
Si11 0.7001 0.4711 0.6420
Si12 0.7105 0.5519 0.9960
Si13 0.8798 0.7474 0.8089
Si14 0.9205 0.3352 0.0900
Si15 0.9356 0.4258 0.3004
Si16 0.9865 0.2084 0.6536
Si17 0.9903 0.4997 0.5030
Si18 0.9912 0.0756 0.2404
```

Most intense lines, 2θ = 10–80°, by intensity:
| d [Å] | I_rel |
| --- | --- |
| 2.345 | 100 |
| 2.354 | 66 |
| 2.445 | 61 |
| 2.304 | 44 |
| 2.296 | 37 |
| 2.565 | 31 |
| 2.322 | 26 |
| 2.256 | 26 |
| 2.634 | 20 |
| 2.140 | 20 |

Entry 4:
The following is a theoretical powder diffraction line list of Hg2TeBr3. It was derived from a structure optimized by DFT (GGA-PBE), using Cu Kα.
Peak positions follow from Bragg's law for the DFT cell and can differ from measured ones.

Cell and atoms:
```
data_Hg2TeBr3
_space_group_name_H-M_alt 'P 1'
_space_group_IT_number 1
_cell_length_a 7.8578
_cell_length_b 10.2822
_cell_length_c 12.3206
_cell_angle_alpha 90.00
_cell_angle_beta 123.50
_cell_angle_gamma 90.00
loop_
_space_group_symop_operation_xyz
'x,y,z'
loop_
_atom_site_label
_atom_site_fract_x
_atom_site_fract_y
_atom_site_fract_z
Hg1 0.0018 0.1892 0.0016
Hg2 0.0018 0.3108 0.5016
Hg3 0.4767 0.0487 0.6591
Hg4 0.4767 0.4513 0.1591
Hg5 0.5233 0.5487 0.8409
Hg6 0.5233 0.9513 0.3409
Hg7 0.9982 0.6892 0.4984
Hg8 0.9982 0.8108 0.9984
Te1 0.0963 0.0703 0.6191
Te2 0.0963 0.4297 0.1191
Te3 0.9037 0.5703 0.8809
Te4 0.9037 0.9297 0.3809
Br1 0.2441 0.7386 0.7686
Br2 0.2441 0.7614 0.2686
Br3 0.2569 0.0013 0.0121
Br4 0.2569 0.4987 0.5121
Br5 0.3407 0.1544 0.3636
Br6 0.3407 0.3456 0.8636
Br7 0.6593 0.6544 0.1364
Br8 0.6593 0.8456 0.6364
Br9 0.7431 0.5013 0.4879
Br10 0.7431 0.9987 0.9879
Br11 0.7559 0.2386 0.7314
Br12 0.7559 0.2614 0.2314
```

Most intense lines, 2θ = 10–80°, by intensity:
| d [Å] | I_rel |
| --- | --- |
| 3.249 | 100 |
| 5.935 | 94 |
| 3.111 | 58 |
| 4.045 | 44 |
| 2.590 | 30 |
| 3.139 | 29 |
| 2.129 | 28 |
| 2.572 | 27 |
| 3.908 | 27 |
| 2.065 | 26 |

Please write out number 4 again, unchanged.
The following is a theoretical powder diffraction line list of Hg2TeBr3. It was derived from a structure optimized by DFT (GGA-PBE), using Cu Kα.
Peak positions follow from Bragg's law for the DFT cell and can differ from measured ones.

Cell and atoms:
```
data_Hg2TeBr3
_space_group_name_H-M_alt 'P 1'
_space_group_IT_number 1
_cell_length_a 7.8578
_cell_length_b 10.2822
_cell_length_c 12.3206
_cell_angle_alpha 90.00
_cell_angle_beta 123.50
_cell_angle_gamma 90.00
loop_
_space_group_symop_operation_xyz
'x,y,z'
loop_
_atom_site_label
_atom_site_fract_x
_atom_site_fract_y
_atom_site_fract_z
Hg1 0.0018 0.1892 0.0016
Hg2 0.0018 0.3108 0.5016
Hg3 0.4767 0.0487 0.6591
Hg4 0.4767 0.4513 0.1591
Hg5 0.5233 0.5487 0.8409
Hg6 0.5233 0.9513 0.3409
Hg7 0.9982 0.6892 0.4984
Hg8 0.9982 0.8108 0.9984
Te1 0.0963 0.0703 0.6191
Te2 0.0963 0.4297 0.1191
Te3 0.9037 0.5703 0.8809
Te4 0.9037 0.9297 0.3809
Br1 0.2441 0.7386 0.7686
Br2 0.2441 0.7614 0.2686
Br3 0.2569 0.0013 0.0121
Br4 0.2569 0.4987 0.5121
Br5 0.3407 0.1544 0.3636
Br6 0.3407 0.3456 0.8636
Br7 0.6593 0.6544 0.1364
Br8 0.6593 0.8456 0.6364
Br9 0.7431 0.5013 0.4879
Br10 0.7431 0.9987 0.9879
Br11 0.7559 0.2386 0.7314
Br12 0.7559 0.2614 0.2314
```

Most intense lines, 2θ = 10–80°, by intensity:
| d [Å] | I_rel |
| --- | --- |
| 3.249 | 100 |
| 5.935 | 94 |
| 3.111 | 58 |
| 4.045 | 44 |
| 2.590 | 30 |
| 3.139 | 29 |
| 2.129 | 28 |
| 2.572 | 27 |
| 3.908 | 27 |
| 2.065 | 26 |